[1]
The following is a simulated powder XRD pattern of TaW5. It was derived from a cell relaxed with PBE, using Cu Kα, 1.54184 Å.
Lines closer than 0.1° are merged.

Top 3 peaks for 10 to 80 degrees two-theta, in order of rising 2θ:
2θ = 39.81°, intensity 100; 2θ = 57.57°, intensity 17; 2θ = 72.27°, intensity 35

Crystal structure
```
data_TaW5
_cell_length_a 4.5318
_cell_length_b 9.6050
_cell_length_c 4.5261
_cell_angle_alpha 90.00
_cell_angle_beta 90.00
_cell_angle_gamma 90.00
_space_group_name_H-M_alt 'C m m m'
_space_group_IT_number 65
_space_group_name_Hall '-C 2 2'
loop_
_atom_site_label
_atom_site_type_symbol
_atom_site_fract_x
_atom_site_fract_y
_atom_site_fract_z
Ta1 Ta 0.0000 0.0000 0.0000
W1 W 0.0000 0.1679 0.5000
W2 W 0.0000 0.3315 0.0000
W3 W 0.0000 0.5000 0.5000
```


[2]
The following is a simulated powder XRD pattern of Ta5Ag4. It was derived from a cell relaxed with PBE, using Cu Kα, 1.54184 Å.
Lines closer than 0.1° are merged.

Top 6 peaks for 10 to 80 degrees two-theta, in order of rising 2θ:
2θ = 38.58°, intensity 100; 2θ = 38.85°, intensity 49; 2θ = 55.29°, intensity 9; 2θ = 56.12°, intensity 17; 2θ = 69.63°, intensity 17; 2θ = 70.17°, intensity 34

Crystal structure
```
data_Ta5Ag4
_cell_length_a 9.8337
_cell_length_b 9.8337
_cell_length_c 3.3228
_cell_angle_alpha 90.00
_cell_angle_beta 90.00
_cell_angle_gamma 90.00
_space_group_name_H-M_alt 'I 4/m m m'
_space_group_IT_number 139
_space_group_name_Hall '-I 4 2'
loop_
_atom_site_label
_atom_site_type_symbol
_atom_site_fract_x
_atom_site_fract_y
_atom_site_fract_z
Ta1 Ta 0.0000 0.0000 0.0000
Ta2 Ta 0.1673 0.1673 0.5000
Ag1 Ag 0.0000 0.3357 0.0000
```


[3]
The following is a simulated powder XRD pattern of PmNd5Sm2. It was derived from a cell relaxed with PBE, using Cu Kα, 1.54184 Å.
Lines closer than 0.1° are merged.

Top 6 peaks for 10 to 80 degrees two-theta, in order of rising 2θ:
2θ = 27.92°, intensity 23; 2θ = 30.04°, intensity 26; 2θ = 31.79°, intensity 100; 2θ = 49.40°, intensity 19; 2θ = 54.46°, intensity 22; 2θ = 58.91°, intensity 23

Crystal structure
```
data_PmNd5Sm2
_cell_length_a 6.9983
_cell_length_b 9.4770
_cell_length_c 9.4854
_cell_angle_alpha 84.80
_cell_angle_beta 70.86
_cell_angle_gamma 70.80
_space_group_name_H-M_alt 'P -1'
_space_group_IT_number 2
loop_
_space_group_symop_operation_xyz
'x,y,z'
'-x,-y,-z'
loop_
_atom_site_label
_atom_site_type_symbol
_atom_site_fract_x
_atom_site_fract_y
_atom_site_fract_z
Pm1 Pm 0.2497 0.2086 0.2920
Nd1 Nd 0.0007 0.0829 0.6662
Nd2 Nd 0.2502 0.0418 0.9581
Nd3 Nd 0.2497 0.5416 0.4586
Nd4 Nd 0.2504 0.7077 0.7911
Nd5 Nd 0.4993 0.3331 0.9169
Sm1 Sm 0.0005 0.4167 0.8331
Sm2 Sm 0.4994 0.1667 0.5831
```


[4]
The following is a simulated powder XRD pattern of Ho2MgCuSi4O12. It was derived from a cell relaxed with PBE, using Cu Kα, 1.54184 Å.
Lines closer than 0.1° are merged.

Top 6 peaks for 10 to 80 degrees two-theta, in order of rising 2θ:
2θ = 12.85°, intensity 71; 2θ = 17.19°, intensity 56; 2θ = 21.16°, intensity 51; 2θ = 21.86°, intensity 49; 2θ = 27.97°, intensity 100; 2θ = 35.06°, intensity 66

Crystal structure
```
data_Ho2MgCuSi4O12
_cell_length_a 5.2258
_cell_length_b 7.2816
_cell_length_c 7.7218
_cell_angle_alpha 63.23
_cell_angle_beta 87.69
_cell_angle_gamma 81.09
_space_group_name_H-M_alt 'P 1'
_space_group_IT_number 1
loop_
_space_group_symop_operation_xyz
'x,y,z'
loop_
_atom_site_label
_atom_site_type_symbol
_atom_site_fract_x
_atom_site_fract_y
_atom_site_fract_z
Ho1 Ho 0.0000 0.0000 0.0000
Ho2 Ho 0.0285 0.5751 0.8333
Mg1 Mg 0.9375 0.0155 0.4374
Cu1 Cu 0.2050 0.7163 0.4067
Si1 Si 0.4272 0.2215 0.1862
Si2 Si 0.4310 0.9872 0.6404
Si3 Si 0.5935 0.6070 0.1791
Si4 Si 0.6020 0.3735 0.6391
O1 O 0.1721 0.8985 0.7514
O2 O 0.1920 0.2306 0.0524
O3 O 0.3051 0.1406 0.4112
O4 O 0.3591 0.5281 0.6604
O5 O 0.3682 0.7975 0.1566
O6 O 0.4587 0.4716 0.0919
O7 O 0.5211 0.1369 0.7290
O8 O 0.6781 0.4367 0.4093
O9 O 0.6944 0.8409 0.6354
O10 O 0.7117 0.0905 0.2006
O11 O 0.8487 0.6870 0.0584
O12 O 0.8547 0.3427 0.7692
```


[5]
The following is a simulated powder XRD pattern of Zn3CrRh. It was derived from a cell relaxed with PBE, using Cu Kα, 1.54184 Å.
Lines closer than 0.1° are merged.

Top 6 peaks for 10 to 80 degrees two-theta, in order of rising 2θ:
2θ = 18.80°, intensity 65; 2θ = 26.71°, intensity 30; 2θ = 32.86°, intensity 38; 2θ = 38.13°, intensity 100; 2θ = 42.83°, intensity 32; 2θ = 55.02°, intensity 66

Crystal structure
```
data_Zn3CrRh
_cell_length_a 4.7208
_cell_length_b 4.7208
_cell_length_c 4.7208
_cell_angle_alpha 90.00
_cell_angle_beta 90.00
_cell_angle_gamma 90.00
_space_group_name_H-M_alt 'P m -3 m'
_space_group_IT_number 221
_space_group_name_Hall '-P 4 2 3'
loop_
_atom_site_label
_atom_site_type_symbol
_atom_site_fract_x
_atom_site_fract_y
_atom_site_fract_z
Zn1 Zn 0.0000 0.0000 0.5000
Cr1 Cr 0.5000 0.5000 0.5000
Rh1 Rh 0.0000 0.0000 0.0000
```


[6]
The following is a simulated powder XRD pattern of TaSb4As. It was derived from a cell relaxed with PBE, using Cu Kα, 1.54184 Å.
Lines closer than 0.1° are merged.

Top 6 peaks for 10 to 80 degrees two-theta, in order of rising 2θ:
2θ = 29.67°, intensity 27; 2θ = 34.94°, intensity 100; 2θ = 36.55°, intensity 39; 2θ = 56.11°, intensity 34; 2θ = 61.60°, intensity 28; 2θ = 73.80°, intensity 15

Crystal structure
```
data_TaSb4As
_cell_length_a 8.5166
_cell_length_b 8.5166
_cell_length_c 8.5166
_cell_angle_alpha 90.00
_cell_angle_beta 90.00
_cell_angle_gamma 90.00
_space_group_name_H-M_alt 'F -4 3 m'
_space_group_IT_number 216
_space_group_name_Hall 'F -4 2 3'
loop_
_atom_site_label
_atom_site_type_symbol
_atom_site_fract_x
_atom_site_fract_y
_atom_site_fract_z
Ta1 Ta 0.0000 0.0000 0.0000
Sb1 Sb 0.1252 0.1252 0.3748
As1 As 0.2500 0.2500 0.7500
```


What did the fourth record say?
The following is a simulated powder XRD pattern of Ho2MgCuSi4O12. It was derived from a cell relaxed with PBE, using Cu Kα, 1.54184 Å.
Lines closer than 0.1° are merged.

Top 6 peaks for 10 to 80 degrees two-theta, in order of rising 2θ:
2θ = 12.85°, intensity 71; 2θ = 17.19°, intensity 56; 2θ = 21.16°, intensity 51; 2θ = 21.86°, intensity 49; 2θ = 27.97°, intensity 100; 2θ = 35.06°, intensity 66

Crystal structure
```
data_Ho2MgCuSi4O12
_cell_length_a 5.2258
_cell_length_b 7.2816
_cell_length_c 7.7218
_cell_angle_alpha 63.23
_cell_angle_beta 87.69
_cell_angle_gamma 81.09
_space_group_name_H-M_alt 'P 1'
_space_group_IT_number 1
loop_
_space_group_symop_operation_xyz
'x,y,z'
loop_
_atom_site_label
_atom_site_type_symbol
_atom_site_fract_x
_atom_site_fract_y
_atom_site_fract_z
Ho1 Ho 0.0000 0.0000 0.0000
Ho2 Ho 0.0285 0.5751 0.8333
Mg1 Mg 0.9375 0.0155 0.4374
Cu1 Cu 0.2050 0.7163 0.4067
Si1 Si 0.4272 0.2215 0.1862
Si2 Si 0.4310 0.9872 0.6404
Si3 Si 0.5935 0.6070 0.1791
Si4 Si 0.6020 0.3735 0.6391
O1 O 0.1721 0.8985 0.7514
O2 O 0.1920 0.2306 0.0524
O3 O 0.3051 0.1406 0.4112
O4 O 0.3591 0.5281 0.6604
O5 O 0.3682 0.7975 0.1566
O6 O 0.4587 0.4716 0.0919
O7 O 0.5211 0.1369 0.7290
O8 O 0.6781 0.4367 0.4093
O9 O 0.6944 0.8409 0.6354
O10 O 0.7117 0.0905 0.2006
O11 O 0.8487 0.6870 0.0584
O12 O 0.8547 0.3427 0.7692
```